1.
Structure and computed XRD peak list of Tm5Sn2 (a structure optimized by DFT (GGA-PBE); Cu Kα X-rays).
Intensities are scaled so that the largest is 100.

Most intense lines, 5° ≤ 2θ ≤ 70°, sorted by position:
2θ/deg	I (rel.)
30.20	100
32.51	44
34.97	99
39.66	33
39.90	33
52.19	24

Structural model:
```
data_Tm5Sn2
_space_group_name_H-M_alt 'P 1'
_space_group_IT_number 1
_cell_length_a 19.409
_cell_length_b 19.409
_cell_length_c 4.545
_cell_angle_alpha 90.00
_cell_angle_beta 90.00
_cell_angle_gamma 166.63
loop_
_space_group_symop_operation_xyz
'x,y,z'
loop_
_atom_site_label
_atom_site_fract_x
_atom_site_fract_y
_atom_site_fract_z
_atom_site_occupancy
Tm1 0.035 0.965 0.750 1
Tm2 0.110 0.890 0.250 1
Tm3 0.250 0.750 0.750 1
Tm4 0.324 0.676 0.250 1
Tm5 0.464 0.536 0.750 1
Tm6 0.536 0.464 0.250 1
Tm7 0.676 0.324 0.750 1
Tm8 0.750 0.250 0.250 1
Tm9 0.890 0.110 0.750 1
Tm10 0.965 0.035 0.250 1
Sn1 0.190 0.810 0.250 1
Sn2 0.404 0.596 0.250 1
Sn3 0.596 0.404 0.750 1
Sn4 0.810 0.190 0.750 1
```

2.
Structure and computed XRD peak list of HoBiF6 (a structure optimized by DFT (GGA-PBE); Cu Kα X-rays).
Intensities are scaled so that the largest is 100.

Most intense lines, 5° ≤ 2θ ≤ 70°, sorted by position:
2θ/deg	I (rel.)
23.40	89
27.46	100
33.32	19
43.70	74
50.83	23
56.05	21

Structural model:
```
data_HoBiF6
_space_group_name_H-M_alt 'P 1'
_space_group_IT_number 1
_cell_length_a 5.377
_cell_length_b 5.377
_cell_length_c 8.151
_cell_angle_alpha 90.00
_cell_angle_beta 90.00
_cell_angle_gamma 90.00
loop_
_space_group_symop_operation_xyz
'x,y,z'
loop_
_atom_site_label
_atom_site_fract_x
_atom_site_fract_y
_atom_site_fract_z
_atom_site_occupancy
Ho1 0.000 0.000 0.250 1
Ho2 0.000 0.000 0.750 1
Bi1 0.500 0.500 0.000 1
Bi2 0.500 0.500 0.500 1
F1 0.167 0.806 0.000 1
F2 0.194 0.167 0.500 1
F3 0.251 0.703 0.321 1
F4 0.251 0.703 0.679 1
F5 0.297 0.251 0.179 1
F6 0.297 0.251 0.821 1
F7 0.703 0.749 0.179 1
F8 0.703 0.749 0.821 1
F9 0.749 0.297 0.321 1
F10 0.749 0.297 0.679 1
F11 0.806 0.833 0.500 1
F12 0.833 0.194 0.000 1
```